1.
NiMoP8: theoretical powder X-ray diffraction pattern (a wavelength of 1.5418 Å), based on a DFT-relaxed cell (PBE, Alexandria).
Peak positions follow from Bragg's law for the DFT cell and can differ from measured ones.

Most intense lines, 2θ from 10° to 90°, sorted by position:
2θ = 28.55°, I 68, (1 1 0); 2θ = 34.67°, I 61, (2 0 1); 2θ = 34.83°, I 63, (1 0 3); 2θ = 35.24°, I 79, (2 -1 2); 2θ = 50.57°, I 81, (3 0 0); 2θ = 50.81°, I 100, (1 1 4)

a b c (Å): 6.2522 6.2522 8.7839
angles (deg): 90.00 90.00 120.00
Space group P-31c (No. 163)
Unique sites:
Ni: 0.0000 0.0000 0.0000 (multiplicity 2)
Mo: 0.3333 0.6667 0.2500 (multiplicity 2)
P: 0.0447 0.3202 0.6532 (multiplicity 12)
P: 0.3333 0.6667 0.5371 (multiplicity 4)

***

2.
LaSiPIr6: theoretical powder X-ray diffraction pattern (a wavelength of 1.5418 Å), based on a DFT-relaxed cell (PBE, Alexandria).
Peak positions follow from Bragg's law for the DFT cell and can differ from measured ones.

Most intense lines, 2θ from 10° to 90°, sorted by position:
2θ = 22.89°, I 17, (1 1 2); 2θ = 32.14°, I 39, (0 0 4); 2θ = 33.04°, I 100, (2 2 0); 2θ = 42.51°, I 28, (0 4 0); 2θ = 46.76°, I 67, (2 2 4); 2θ = 51.96°, I 18, (4 0 0)

a b c (Å): 7.039 8.506 11.140
angles (deg): 90.00 90.00 90.00
Space group Imma (No. 74)
Unique sites:
La: 0.000 0.250 0.164 (multiplicity 4)
Si: 0.250 0.250 0.750 (multiplicity 4)
P: 0.000 0.000 0.500 (multiplicity 4)
Ir: 0.000 0.250 0.422 (multiplicity 4)
Ir: 0.000 0.250 0.893 (multiplicity 4)
Ir: 0.249 0.018 0.628 (multiplicity 16)

***

3.
Ti2SbPt9: theoretical powder X-ray diffraction pattern (a wavelength of 1.5418 Å), based on a DFT-relaxed cell (PBE, Alexandria).
Peak positions follow from Bragg's law for the DFT cell and can differ from measured ones.

Most intense lines, 2θ from 10° to 90°, sorted by position:
2θ = 39.01°, I 100, (1 1 3); 2θ = 44.97°, I 15, (0 0 6); 2θ = 45.55°, I 33, (2 0 0); 2θ = 65.94°, I 20, (2 0 6); 2θ = 66.39°, I 11, (2 2 0); 2θ = 79.77°, I 25, (3 1 3)

a b c (Å): 3.983 3.983 12.095
angles (deg): 90.00 90.00 90.00
Space group P4/mmm (No. 123)
Unique sites:
Ti: 0.000 0.000 0.163 (multiplicity 2)
Sb: 0.000 0.000 0.500 (multiplicity 1)
Pt: 0.000 0.500 0.000 (multiplicity 2)
Pt: 0.000 0.500 0.320 (multiplicity 4)
Pt: 0.500 0.500 0.161 (multiplicity 2)
Pt: 0.500 0.500 0.500 (multiplicity 1)

***

4.
LaHo5: theoretical powder X-ray diffraction pattern (a wavelength of 1.5418 Å), based on a DFT-relaxed cell (PBE, Alexandria).
Peak positions follow from Bragg's law for the DFT cell and can differ from measured ones.

Most intense lines, 2θ from 10° to 90°, sorted by position:
2θ = 30.75°, I 100, (2 0 0); 2θ = 35.65°, I 51, (1 3 1); 2θ = 51.31°, I 36, (2 0 2); 2θ = 61.03°, I 36, (3 3 1); 2θ = 83.75°, I 12, (5 3 -1); 2θ = 86.35°, I 8, (3 3 3)

a b c (Å): 6.166 10.676 6.174
angles (deg): 90.00 109.42 90.00
Space group P2_1/m (No. 11)
Unique sites:
La: 0.249 0.250 0.000 (multiplicity 2)
Ho: 0.250 0.082 0.500 (multiplicity 4)
Ho: 0.250 0.583 0.000 (multiplicity 4)
Ho: 0.250 0.750 0.500 (multiplicity 2)